Record 1
Pr4Mg: computed XRD peak list (Cu Kα X-rays), based on DFT lattice parameters and positions (PBE).
Lines closer than 0.1° are merged.

Most intense lines, 2θ = 15–90°, in order of rising 2θ:
2θ/deg  d [Å]  I (rel.)
26.68  3.342  1000
30.90  2.894  426
33.75  2.656  200
40.49  2.228  326
44.26  2.046  298
52.43  1.745  251
56.79  1.621  172
87.08  1.119  138

Structural model:
Cell: 11.5762 11.5762 11.5762 Å, 90.00 90.00 90.00°
Space group Fd-3m (No. 227, origin choice 2)
Asymmetric unit:
Pr 0.0207 0.0207 0.2293 x32
Mg 0.1250 0.1250 0.6250 x8

---

Record 2
Pr2Mg: computed XRD peak list (Cu Kα X-rays), based on DFT lattice parameters and positions (PBE).
Lines closer than 0.1° are merged.

Most intense lines, 2θ = 15–90°, in order of rising 2θ:
2θ/deg  d [Å]  I (rel.)
24.22  3.675  341
24.31  3.662  338
26.84  3.322  221
30.89  2.895  1000
30.96  2.888  1000
33.20  2.699  858
43.19  2.095  247
57.91  1.592  333

Structural model:
Cell: 13.8170 3.8090 7.6480 Å, 90.00 105.90 90.00°
Space group C2/m (No. 12)
Asymmetric unit:
Pr 0.1519 0.0000 0.0703 x4
Pr 0.1625 0.0000 0.5857 x4
Mg 0.0030 0.5000 0.2637 x4

---

Record 3
Pr2Mg: computed XRD peak list (Cu Kα X-rays), based on DFT lattice parameters and positions (PBE).
Lines closer than 0.1° are merged.

Most intense lines, 2θ = 15–90°, in order of rising 2θ:
2θ/deg  d [Å]  I (rel.)
23.54  3.779  164
25.49  3.495  261
30.29  2.951  222
31.42  2.847  280
31.81  2.813  1000
44.21  2.049  157
54.23  1.691  126
56.19  1.637  197

Structural model:
Cell: 3.8678 17.7046 5.6941 Å, 90.00 90.00 90.00°
Space group Cmcm (No. 63)
Asymmetric unit:
Pr 0.0000 0.0867 0.2500 x4
Pr 0.0000 0.2291 0.7500 x4
Mg 0.0000 0.4315 0.2500 x4